Simulated powder XRD pattern of Pr6CoBr10 for CuKα, from the PBE geometry in Alexandria.
Peak positions follow from Bragg's law for the DFT cell and can differ from measured ones.

Crystal structure
```
data_Pr6CoBr10
_space_group_name_H-M_alt 'P 1'
_space_group_IT_number 1
_cell_length_a 7.704
_cell_length_b 9.462
_cell_length_c 9.631
_cell_angle_alpha 108.44
_cell_angle_beta 105.38
_cell_angle_gamma 96.86
loop_
_space_group_symop_operation_xyz
'x,y,z'
loop_
_atom_site_label
_atom_site_fract_x
_atom_site_fract_y
_atom_site_fract_z
Pr1 0.035 0.403 0.201
Pr2 0.123 0.265 0.547
Pr3 0.361 0.687 0.637
Pr4 0.639 0.313 0.363
Pr5 0.877 0.735 0.453
Pr6 0.965 0.597 0.799
Co1 0.000 0.500 0.500
Br1 0.084 0.328 0.865
Br2 0.212 0.149 0.247
Br3 0.246 0.957 0.580
Br4 0.347 0.776 0.952
Br5 0.456 0.581 0.325
Br6 0.544 0.419 0.675
Br7 0.653 0.224 0.048
Br8 0.754 0.043 0.420
Br9 0.788 0.851 0.753
Br10 0.916 0.672 0.135
```

Principal peaks in the range 2θ = 10–80°, by angle:
2θ (°)	I (rel.)
10.11	55.2
10.23	57.1
28.70	100.0
29.42	97.5
29.68	86.2
40.83	35.6
41.99	34.0
42.30	35.4
42.47	32.3
51.66	32.0

***

Simulated powder XRD pattern of Pr6CoS2Br3 for CuKα, from the PBE geometry in Alexandria.
Peak positions follow from Bragg's law for the DFT cell and can differ from measured ones.

Crystal structure
```
data_Pr6CoS2Br3
_space_group_name_H-M_alt 'P 1'
_space_group_IT_number 1
_cell_length_a 7.208
_cell_length_b 7.208
_cell_length_c 7.724
_cell_angle_alpha 98.97
_cell_angle_beta 98.97
_cell_angle_gamma 119.77
loop_
_space_group_symop_operation_xyz
'x,y,z'
loop_
_atom_site_label
_atom_site_fract_x
_atom_site_fract_y
_atom_site_fract_z
Pr1 0.067 0.385 0.202
Pr2 0.252 0.252 0.793
Pr3 0.385 0.067 0.202
Pr4 0.615 0.933 0.798
Pr5 0.748 0.748 0.207
Pr6 0.933 0.615 0.798
Co1 0.000 0.000 0.000
S1 0.334 0.666 0.000
S2 0.666 0.334 0.000
Br1 0.173 0.827 0.500
Br2 0.500 0.500 0.500
Br3 0.827 0.173 0.500
```

Principal peaks in the range 2θ = 10–80°, by angle:
2θ (°)	I (rel.)
25.99	20.8
29.60	100.0
32.10	10.1
41.25	28.7
43.39	25.4
43.55	12.3
53.52	11.9
58.11	8.4
61.44	8.4
71.16	9.8

***

Simulated powder XRD pattern of CoPtBr4 for CuKα, from the PBE geometry in Alexandria.
Peak positions follow from Bragg's law for the DFT cell and can differ from measured ones.

Crystal structure
```
data_CoPtBr4
_space_group_name_H-M_alt 'P 1'
_space_group_IT_number 1
_cell_length_a 14.352
_cell_length_b 3.894
_cell_length_c 6.509
_cell_angle_alpha 90.00
_cell_angle_beta 113.76
_cell_angle_gamma 90.00
loop_
_space_group_symop_operation_xyz
'x,y,z'
loop_
_atom_site_label
_atom_site_fract_x
_atom_site_fract_y
_atom_site_fract_z
Co1 0.000 0.000 0.000
Co2 0.500 0.500 0.000
Pt1 0.000 0.500 0.500
Pt2 0.500 0.000 0.500
Br1 0.105 0.500 0.269
Br2 0.108 0.000 0.778
Br3 0.392 0.500 0.222
Br4 0.395 0.000 0.731
Br5 0.605 0.000 0.269
Br6 0.608 0.500 0.778
Br7 0.892 0.000 0.222
Br8 0.895 0.500 0.731
```

Principal peaks in the range 2θ = 10–80°, by angle:
2θ (°)	I (rel.)
13.48	100.0
23.85	12.1
29.66	69.8
31.38	30.1
37.87	46.6
40.10	17.5
46.65	13.7
48.06	25.1
48.83	19.4
50.49	21.3

***

Simulated powder XRD pattern of PuCoBr5 for CuKα, from the PBE geometry in Alexandria.
Peak positions follow from Bragg's law for the DFT cell and can differ from measured ones.

Crystal structure
```
data_PuCoBr5
_space_group_name_H-M_alt 'P 1'
_space_group_IT_number 1
_cell_length_a 7.488
_cell_length_b 7.488
_cell_length_c 10.666
_cell_angle_alpha 110.61
_cell_angle_beta 110.61
_cell_angle_gamma 86.59
loop_
_space_group_symop_operation_xyz
'x,y,z'
loop_
_atom_site_label
_atom_site_fract_x
_atom_site_fract_y
_atom_site_fract_z
Pu1 0.000 0.500 0.000
Pu2 0.500 0.000 0.500
Co1 0.138 0.862 0.750
Co2 0.862 0.138 0.250
Br1 0.151 0.188 0.452
Br2 0.175 0.595 0.831
Br3 0.188 0.151 0.952
Br4 0.331 0.669 0.250
Br5 0.405 0.825 0.669
Br6 0.595 0.175 0.331
Br7 0.669 0.331 0.750
Br8 0.812 0.849 0.048
Br9 0.825 0.405 0.169
Br10 0.849 0.812 0.548
```

Principal peaks in the range 2θ = 10–80°, by angle:
2θ (°)	I (rel.)
12.85	58.1
17.27	33.5
18.35	100.0
19.12	59.5
27.75	34.4
30.16	34.4
30.80	28.6
32.69	26.4
34.99	23.9
37.20	24.9

***

Simulated powder XRD pattern of Pu2CoBr for CuKα, from the PBE geometry in Alexandria.
Peak positions follow from Bragg's law for the DFT cell and can differ from measured ones.

Crystal structure
```
data_Pu2CoBr
_space_group_name_H-M_alt 'P 1'
_space_group_IT_number 1
_cell_length_a 3.838
_cell_length_b 3.838
_cell_length_c 23.092
_cell_angle_alpha 90.00
_cell_angle_beta 90.00
_cell_angle_gamma 120.00
loop_
_space_group_symop_operation_xyz
'x,y,z'
loop_
_atom_site_label
_atom_site_fract_x
_atom_site_fract_y
_atom_site_fract_z
Pu1 0.000 0.000 0.231
Pu2 0.000 0.000 0.769
Pu3 0.333 0.667 0.436
Pu4 0.333 0.667 0.898
Pu5 0.667 0.333 0.102
Pu6 0.667 0.333 0.564
Co1 0.000 0.000 0.500
Co2 0.333 0.667 0.167
Co3 0.667 0.333 0.833
Br1 0.000 0.000 0.000
Br2 0.333 0.667 0.667
Br3 0.667 0.333 0.333
```

Principal peaks in the range 2θ = 10–80°, by angle:
2θ (°)	I (rel.)
11.50	21.8
27.93	39.2
31.04	100.0
33.21	21.5
38.44	19.6
41.43	24.9
47.37	37.7
51.49	15.0
57.72	17.5
60.22	19.1

***

Simulated powder XRD pattern of RbCo2Br2 for CuKα, from the PBE geometry in Alexandria.
Peak positions follow from Bragg's law for the DFT cell and can differ from measured ones.

Crystal structure
```
data_RbCo2Br2
_space_group_name_H-M_alt 'P 1'
_space_group_IT_number 1
_cell_length_a 3.986
_cell_length_b 3.986
_cell_length_c 14.122
_cell_angle_alpha 90.00
_cell_angle_beta 90.00
_cell_angle_gamma 90.00
loop_
_space_group_symop_operation_xyz
'x,y,z'
loop_
_atom_site_label
_atom_site_fract_x
_atom_site_fract_y
_atom_site_fract_z
Rb1 0.000 0.000 0.000
Rb2 0.500 0.500 0.500
Co1 0.000 0.500 0.250
Co2 0.000 0.500 0.750
Co3 0.500 0.000 0.250
Co4 0.500 0.000 0.750
Br1 0.000 0.000 0.352
Br2 0.000 0.000 0.648
Br3 0.500 0.500 0.148
Br4 0.500 0.500 0.852
```

Principal peaks in the range 2θ = 10–80°, by angle:
2θ (°)	I (rel.)
12.54	24.6
29.36	100.0
31.75	11.1
34.26	30.9
40.97	21.0
45.52	35.1
50.52	40.9
55.09	32.6
66.33	10.9
71.38	9.5

***

Simulated powder XRD pattern of Rb2Co2Br7 for CuKα, from the PBE geometry in Alexandria.
Peak positions follow from Bragg's law for the DFT cell and can differ from measured ones.

Crystal structure
```
data_Rb2Co2Br7
_space_group_name_H-M_alt 'P 1'
_space_group_IT_number 1
_cell_length_a 6.535
_cell_length_b 16.407
_cell_length_c 8.622
_cell_angle_alpha 90.00
_cell_angle_beta 99.74
_cell_angle_gamma 90.00
loop_
_space_group_symop_operation_xyz
'x,y,z'
loop_
_atom_site_label
_atom_site_fract_x
_atom_site_fract_y
_atom_site_fract_z
Rb1 0.118 0.154 0.456
Rb2 0.118 0.346 0.956
Rb3 0.882 0.654 0.044
Rb4 0.882 0.846 0.544
Co1 0.325 0.603 0.629
Co2 0.325 0.897 0.129
Co3 0.675 0.103 0.871
Co4 0.675 0.397 0.371
Br1 0.027 0.645 0.458
Br2 0.027 0.855 0.958
Br3 0.242 0.547 0.863
Br4 0.242 0.953 0.363
Br5 0.459 0.215 0.798
Br6 0.459 0.285 0.298
Br7 0.500 0.000 0.000
Br8 0.500 0.500 0.500
Br9 0.541 0.715 0.702
Br10 0.541 0.785 0.202
Br11 0.758 0.047 0.637
Br12 0.758 0.453 0.137
Br13 0.973 0.145 0.042
Br14 0.973 0.355 0.542
```

Principal peaks in the range 2θ = 10–80°, by angle:
2θ (°)	I (rel.)
15.01	34.6
19.17	100.0
19.42	83.7
21.31	49.7
25.50	56.3
25.75	67.6
26.98	79.5
31.83	46.2
38.41	32.0
40.21	29.8

***

Simulated powder XRD pattern of RbCoBr3 for CuKα, from the PBE geometry in Alexandria.
Peak positions follow from Bragg's law for the DFT cell and can differ from measured ones.

Crystal structure
```
data_RbCoBr3
_space_group_name_H-M_alt 'P 1'
_space_group_IT_number 1
_cell_length_a 13.033
_cell_length_b 13.033
_cell_length_c 6.232
_cell_angle_alpha 90.00
_cell_angle_beta 90.00
_cell_angle_gamma 120.00
loop_
_space_group_symop_operation_xyz
'x,y,z'
loop_
_atom_site_label
_atom_site_fract_x
_atom_site_fract_y
_atom_site_fract_z
Rb1 0.000 0.332 0.000
Rb2 0.000 0.667 0.500
Rb3 0.333 0.000 0.000
Rb4 0.333 0.332 0.500
Rb5 0.668 0.000 0.500
Rb6 0.668 0.667 0.000
Co1 0.000 0.000 0.238
Co2 0.000 0.000 0.738
Co3 0.333 0.667 0.282
Co4 0.333 0.667 0.782
Co5 0.667 0.333 0.223
Co6 0.667 0.333 0.723
Br1 0.000 0.158 0.488
Br2 0.000 0.842 0.988
Br3 0.158 0.000 0.488
Br4 0.158 0.158 0.988
Br5 0.175 0.508 0.533
Br6 0.175 0.667 0.033
Br7 0.333 0.508 0.033
Br8 0.333 0.825 0.533
Br9 0.492 0.667 0.533
Br10 0.492 0.825 0.033
Br11 0.509 0.175 0.472
Br12 0.509 0.334 0.972
Br13 0.666 0.175 0.972
Br14 0.666 0.491 0.472
Br15 0.825 0.334 0.472
Br16 0.825 0.491 0.972
Br17 0.842 0.000 0.988
Br18 0.842 0.842 0.488
```

Principal peaks in the range 2θ = 10–80°, by angle:
2θ (°)	I (rel.)
13.59	26.5
27.37	9.1
28.65	17.4
30.97	100.0
40.04	28.9
48.39	25.9
52.22	18.9
57.20	13.6
58.57	14.8
79.30	11.8

***

- What is the formula in the first record?
  Pr6CoBr10